The following is a calculated X-ray diffraction stick pattern of V7O3. It was derived from a structure optimized by DFT (GGA+U), using Cu Ka.
Intensities are scaled so that the largest is 100.

Principal peaks in the range 10 to 80 degrees two-theta, sorted by position:
d_spacing, I_rel
2.538, 33.7
2.525, 100.0
2.196, 37.9
2.190, 37.9
2.184, 37.0
1.551, 32.7

```
10
Lattice="5.343 0.000 0.000 -0.867 5.296 0.000 -0.901 -1.078 5.196" Properties=species:S:1:pos:R:3 pbc="T T T"
V 0.000 0.000 0.000
V 0.006 2.741 1.433
V 0.911 0.130 2.999
V 0.911 2.865 4.470
V 2.664 1.353 0.726
V 2.664 4.088 2.197
V 3.570 1.478 3.763
O -0.888 3.447 3.315
O 1.788 2.109 2.598
O 4.463 0.772 1.881
```

=====

The following is a calculated X-ray diffraction stick pattern of VO2. It was derived from a structure optimized by DFT (GGA+U), using Cu Ka.
Intensities are scaled so that the largest is 100.

Principal peaks in the range 10 to 80 degrees two-theta, sorted by position:
d_spacing, I_rel
4.852, 100.0
2.549, 29.9
2.110, 47.5
1.621, 15.4
1.495, 13.9
1.429, 13.5

```
3
Lattice="1.495 0.863 4.852 -1.495 0.863 4.852 0.000 -1.726 4.852" Properties=species:S:1:pos:R:3 pbc="T T T"
V 0.000 0.000 0.000
O 0.000 0.000 3.901
O 0.000 0.000 10.655
```